For BaSrCaWO6, a structure optimized by DFT (GGA+U) gives the calculated XRD peak list in this record (Cu Ka).
Lines closer than 0.1° are merged.

Principal peaks in the range 2θ = 10–90°, in order of falling intensity:
Position (°2θ)  Rel. int.
29.3  100
51.9  40
41.8  31
17.8  25
83.8  22
60.7  19
68.8  19
20.6  12
34.4  12
76.4  6

Atomic structure:
a = 6.105 Å, b = 6.105 Å, c = 6.105 Å
α = 60.00°, β = 60.00°, γ = 60.00°
Fractional positions:
1 Ba 0.000 0.000 0.000
2 Sr 0.750 0.750 0.750
3 Ca 0.500 0.500 0.500
4 W 0.250 0.250 0.250
5 O 0.024 0.024 0.476
6 O 0.024 0.476 0.024
7 O 0.024 0.476 0.476
8 O 0.476 0.024 0.024
9 O 0.476 0.024 0.476
10 O 0.476 0.476 0.024

=====

For BaSrCaWO6, a structure optimized by DFT (GGA+U) gives the calculated XRD peak list in this record (Cu Ka).
Lines closer than 0.1° are merged.

Principal peaks in the range 2θ = 10–90°, in order of falling intensity:
Position (°2θ)  Rel. int.
29.9  100
43.0  28
30.0  25
30.2  24
18.2  24
18.3  21
53.1  21
53.5  20
53.0  15
42.8  14

Atomic structure:
a = 5.956 Å, b = 5.975 Å, c = 8.424 Å
α = 90.46°, β = 90.34°, γ = 90.28°
Fractional positions:
1 Ba 0.003 0.022 0.251
2 Ba 0.997 0.978 0.749
3 Sr 0.496 0.534 0.251
4 Sr 0.504 0.466 0.749
5 Ca 0.000 0.500 0.500
6 Ca 0.500 0.000 0.000
7 W 0.000 0.500 0.000
8 W 0.500 0.000 0.500
9 O 0.075 0.503 0.773
10 O 0.199 0.758 0.035
11 O 0.242 0.800 0.474
12 O 0.258 0.304 0.040
13 O 0.309 0.263 0.462
14 O 0.445 0.030 0.728
15 O 0.555 0.970 0.272
16 O 0.691 0.737 0.538
17 O 0.742 0.696 0.960
18 O 0.758 0.200 0.526
19 O 0.801 0.242 0.965
20 O 0.925 0.497 0.227

=====

For BaSrCaWO6, a structure optimized by DFT (GGA+U) gives the calculated XRD peak list in this record (Cu Ka).
Lines closer than 0.1° are merged.

Principal peaks in the range 2θ = 10–90°, in order of falling intensity:
Position (°2θ)  Rel. int.
30.0  100
53.2  43
18.2  30
42.9  19
35.3  14
70.7  12
62.2  12
86.2  11
86.3  11
42.8  10

Atomic structure:
a = 8.426 Å, b = 8.433 Å, c = 8.454 Å
α = 90.00°, β = 90.00°, γ = 90.00°
Fractional positions:
1 Ba 0.000 0.000 0.000
2 Ba 0.000 0.000 0.500
3 Ba 0.500 0.000 0.000
4 Ba 0.500 0.500 0.500
5 Sr 0.000 0.500 0.000
6 Sr 0.000 0.500 0.500
7 Sr 0.500 0.000 0.500
8 Sr 0.500 0.500 0.000
9 Ca 0.251 0.252 0.750
10 Ca 0.251 0.748 0.250
11 Ca 0.749 0.252 0.250
12 Ca 0.749 0.748 0.750
13 W 0.249 0.254 0.251
14 W 0.249 0.746 0.749
15 W 0.751 0.254 0.749
16 W 0.751 0.746 0.251
17 O 0.020 0.228 0.275
18 O 0.020 0.772 0.725
19 O 0.218 0.480 0.289
20 O 0.218 0.520 0.711
21 O 0.219 0.283 0.021
22 O 0.219 0.717 0.979
23 O 0.272 0.023 0.225
24 O 0.272 0.977 0.775
25 O 0.287 0.221 0.478
26 O 0.287 0.779 0.522
27 O 0.477 0.287 0.217
28 O 0.477 0.713 0.783
29 O 0.523 0.287 0.783
30 O 0.523 0.713 0.217
31 O 0.713 0.221 0.522
32 O 0.713 0.779 0.478
33 O 0.728 0.023 0.775
34 O 0.728 0.977 0.225
35 O 0.781 0.283 0.979
36 O 0.781 0.717 0.021
37 O 0.782 0.480 0.711
38 O 0.782 0.520 0.289
39 O 0.980 0.228 0.725
40 O 0.980 0.772 0.275

=====

For BaSrCaWO6, a structure optimized by DFT (GGA+U) gives the calculated XRD peak list in this record (Cu Ka).
Lines closer than 0.1° are merged.

Principal peaks in the range 2θ = 10–90°, in order of falling intensity:
Position (°2θ)  Rel. int.
29.5  100
29.6  47
18.0  26
52.4  22
52.5  22
52.6  22
42.3  13
42.1  13
42.5  12
84.8  11

Atomic structure:
a = 8.509 Å, b = 8.540 Å, c = 8.578 Å
α = 90.00°, β = 90.00°, γ = 90.00°
Fractional positions:
1 Ba 0.000 0.000 0.000
2 Ba 0.000 0.000 0.500
3 Ba 0.000 0.500 0.000
4 Ba 0.500 0.500 0.500
5 Sr 0.255 0.255 0.250
6 Sr 0.255 0.745 0.750
7 Sr 0.745 0.255 0.750
8 Sr 0.745 0.745 0.250
9 Ca 0.000 0.500 0.500
10 Ca 0.500 0.000 0.000
11 Ca 0.500 0.000 0.500
12 Ca 0.500 0.500 0.000
13 W 0.258 0.247 0.749
14 W 0.258 0.753 0.251
15 W 0.742 0.247 0.251
16 W 0.742 0.753 0.749
17 O 0.033 0.273 0.794
18 O 0.033 0.727 0.206
19 O 0.204 0.312 0.533
20 O 0.204 0.688 0.467
21 O 0.220 0.026 0.714
22 O 0.220 0.974 0.286
23 O 0.306 0.198 0.969
24 O 0.306 0.802 0.031
25 O 0.308 0.466 0.802
26 O 0.308 0.534 0.198
27 O 0.472 0.209 0.680
28 O 0.472 0.791 0.320
29 O 0.528 0.209 0.320
30 O 0.528 0.791 0.680
31 O 0.692 0.466 0.198
32 O 0.692 0.534 0.802
33 O 0.694 0.198 0.031
34 O 0.694 0.802 0.969
35 O 0.780 0.026 0.286
36 O 0.780 0.974 0.714
37 O 0.796 0.312 0.467
38 O 0.796 0.688 0.533
39 O 0.967 0.273 0.206
40 O 0.967 0.727 0.794

=====

For Ba2Ca3Tl2W4O12, a structure optimized by DFT (GGA+U) gives the calculated XRD peak list in this record (Cu Ka).
Lines closer than 0.1° are merged.

Principal peaks in the range 2θ = 10–90°, in order of falling intensity:
Position (°2θ)  Rel. int.
31.0  100
30.4  80
27.8  67
44.4  52
21.8  46
54.7  31
36.3  29
53.2  23
33.2  21
47.1  21

Atomic structure:
a = 23.505 Å, b = 23.505 Å, c = 23.505 Å
α = 170.03°, β = 170.03°, γ = 14.11°
Fractional positions:
1 Ba 0.169 0.169 0.000
2 Ba 0.831 0.831 0.000
3 Ca 0.000 0.000 0.000
4 Ca 0.077 0.077 0.000
5 Ca 0.923 0.923 0.000
6 Tl 0.273 0.273 0.000
7 Tl 0.727 0.727 0.000
8 W 0.389 0.389 0.000
9 W 0.462 0.462 0.000
10 W 0.538 0.538 0.000
11 W 0.611 0.611 0.000
12 O 0.035 0.535 0.500
13 O 0.106 0.606 0.500
14 O 0.221 0.221 0.000
15 O 0.345 0.345 0.000
16 O 0.394 0.894 0.500
17 O 0.465 0.965 0.500
18 O 0.535 0.035 0.500
19 O 0.606 0.106 0.500
20 O 0.655 0.655 0.000
21 O 0.779 0.779 0.000
22 O 0.894 0.394 0.500
23 O 0.965 0.465 0.500

=====

For BaCaV4O8, a structure optimized by DFT (GGA+U) gives the calculated XRD peak list in this record (Cu Ka).
Lines closer than 0.1° are merged.

Principal peaks in the range 2θ = 10–90°, in order of falling intensity:
Position (°2θ)  Rel. int.
29.2  100
32.1  76
57.2  57
34.1  35
44.0  32
55.5  31
11.2  22
74.9  18
76.4  14
21.6  13

Atomic structure:
a = 5.574 Å, b = 5.574 Å, c = 7.886 Å
α = 90.00°, β = 90.00°, γ = 120.00°
Fractional positions:
1 Ba 0.000 0.000 0.000
2 Ca 0.000 0.000 0.500
3 V 0.333 0.667 0.241
4 V 0.333 0.667 0.759
5 V 0.667 0.333 0.241
6 V 0.667 0.333 0.759
7 O 0.000 0.330 0.306
8 O 0.000 0.670 0.694
9 O 0.330 0.000 0.306
10 O 0.330 0.330 0.694
11 O 0.333 0.667 0.000
12 O 0.667 0.333 0.000
13 O 0.670 0.000 0.694
14 O 0.670 0.670 0.306

=====

For BaCaV2O7, a structure optimized by DFT (GGA+U) gives the calculated XRD peak list in this record (Cu Ka).
Lines closer than 0.1° are merged.

Principal peaks in the range 2θ = 10–90°, in order of falling intensity:
Position (°2θ)  Rel. int.
27.3  100
28.5  82
22.2  72
30.4  58
24.0  50
39.1  46
29.8  44
36.3  39
25.6  38
42.5  36

Atomic structure:
a = 15.713 Å, b = 5.872 Å, c = 7.615 Å
α = 90.00°, β = 90.00°, γ = 90.00°
Fractional positions:
1 Ba 0.215 0.250 0.137
2 Ba 0.285 0.750 0.637
3 Ba 0.715 0.250 0.363
4 Ba 0.785 0.750 0.863
5 Ca 0.053 0.750 0.887
6 Ca 0.447 0.250 0.387
7 Ca 0.553 0.750 0.613
8 Ca 0.947 0.250 0.113
9 V 0.061 0.750 0.300
10 V 0.142 0.250 0.662
11 V 0.358 0.750 0.162
12 V 0.439 0.250 0.800
13 V 0.561 0.750 0.200
14 V 0.642 0.250 0.838
15 V 0.858 0.750 0.338
16 V 0.939 0.250 0.700
17 O 0.035 0.250 0.563
18 O 0.060 0.519 0.156
19 O 0.060 0.981 0.156
20 O 0.150 0.750 0.419
21 O 0.154 0.014 0.795
22 O 0.154 0.486 0.795
23 O 0.221 0.250 0.511
24 O 0.279 0.750 0.011
25 O 0.346 0.514 0.295
26 O 0.346 0.986 0.295
27 O 0.350 0.250 0.919
28 O 0.440 0.019 0.656
29 O 0.440 0.481 0.656
30 O 0.465 0.750 0.063
31 O 0.535 0.250 0.937
32 O 0.560 0.519 0.344
33 O 0.560 0.981 0.344
34 O 0.650 0.750 0.081
35 O 0.654 0.014 0.705
36 O 0.654 0.486 0.705
37 O 0.721 0.250 0.989
38 O 0.779 0.750 0.489
39 O 0.846 0.514 0.205
40 O 0.846 0.986 0.205
41 O 0.850 0.250 0.581
42 O 0.940 0.019 0.844
43 O 0.940 0.481 0.844
44 O 0.965 0.750 0.437

=====

For BaCaYVO6, a structure optimized by DFT (GGA+U) gives the calculated XRD peak list in this record (Cu Ka).
Lines closer than 0.1° are merged.

Principal peaks in the range 2θ = 10–90°, in order of falling intensity:
Position (°2θ)  Rel. int.
30.7  100
54.5  38
43.9  37
18.6  23
63.8  21
88.7  20
72.5  17
36.1  16
48.1  8
37.8  8

Atomic structure:
a = 5.834 Å, b = 5.834 Å, c = 5.834 Å
α = 60.00°, β = 60.00°, γ = 60.00°
Fractional positions:
1 Ba 0.000 0.000 0.000
2 Ca 0.500 0.500 0.500
3 Y 0.250 0.250 0.250
4 V 0.750 0.750 0.750
5 O 0.519 0.519 0.981
6 O 0.519 0.981 0.519
7 O 0.519 0.981 0.981
8 O 0.981 0.519 0.519
9 O 0.981 0.519 0.981
10 O 0.981 0.981 0.519

=====

For BaCdFeF7, a structure optimized by DFT (GGA+U) gives the calculated XRD peak list in this record (Cu Ka).
Lines closer than 0.1° are merged.

Principal peaks in the range 2θ = 10–90°, in order of falling intensity:
Position (°2θ)  Rel. int.
24.9  100
28.9  40
29.3  34
42.6  34
26.2  27
32.4  23
26.9  23
53.8  18
42.1  14
40.7  13

Atomic structure:
a = 7.551 Å, b = 7.551 Å, c = 15.295 Å
α = 91.79°, β = 91.79°, γ = 42.90°
Fractional positions:
1 Ba 0.150 0.232 0.123
2 Ba 0.232 0.150 0.623
3 Ba 0.768 0.850 0.377
4 Ba 0.850 0.768 0.877
5 Cd 0.452 0.548 0.250
6 Cd 0.500 0.500 0.000
7 Cd 0.500 0.500 0.500
8 Cd 0.548 0.452 0.750
9 Fe 0.118 0.126 0.875
10 Fe 0.126 0.118 0.375
11 Fe 0.874 0.882 0.625
12 Fe 0.882 0.874 0.125
13 F 0.047 0.622 0.222
14 F 0.072 0.755 0.517
15 F 0.104 0.883 0.344
16 F 0.117 0.896 0.156
17 F 0.155 0.601 0.701
18 F 0.164 0.563 0.049
19 F 0.187 0.317 0.408
20 F 0.245 0.928 0.983
21 F 0.317 0.187 0.908
22 F 0.337 0.537 0.871
23 F 0.378 0.953 0.278
24 F 0.399 0.845 0.799
25 F 0.437 0.836 0.451
26 F 0.463 0.663 0.629
27 F 0.537 0.337 0.371
28 F 0.563 0.164 0.549
29 F 0.601 0.155 0.201
30 F 0.622 0.047 0.722
31 F 0.663 0.463 0.129
32 F 0.683 0.813 0.092
33 F 0.755 0.072 0.017
34 F 0.813 0.683 0.592
35 F 0.836 0.437 0.951
36 F 0.845 0.399 0.299
37 F 0.883 0.104 0.844
38 F 0.896 0.117 0.656
39 F 0.928 0.245 0.483
40 F 0.953 0.378 0.778